Starting from a DFT-relaxed cell (PBE, the Materials Project), the powder X-ray diffraction pattern of Rb2CuCl4O2 was computed for λ = 1.5418 Å (Cu Kα).

```
data_Rb2CuCl4O2
_symmetry_space_group_name_H-M 'P 42/m n m'
_symmetry_Int_Tables_number 136
_symmetry_space_group_name_Hall '-P 4n 2n'
_cell_length_a 7.4124
_cell_length_b 7.4124
_cell_length_c 8.6353
_cell_angle_alpha 90.00
_cell_angle_beta 90.00
_cell_angle_gamma 90.00
loop_
_atom_site_label
_atom_site_type_symbol
_atom_site_fract_x
_atom_site_fract_y
_atom_site_fract_z
Rb1 Rb 0.0000 0.5000 0.2500
Cu1 Cu 0.0000 0.0000 0.0000
Cl1 Cl 0.2123 0.2123 0.0000
Cl2 Cl 0.2222 0.2222 0.5000
O1 O 0.0000 0.0000 0.2042
```

Largest 8 diffraction maxima, sorted by position, 2θ from 15° to 90°:
d 5.624, 2θ = 15.76°, I 52, hkl 1 0 1
d 3.706, 2θ = 24.01°, I 27, hkl 2 0 0
d 3.333, 2θ = 26.75°, I 100, hkl 1 1 2
d 2.812, 2θ = 31.82°, I 92, hkl 2 0 2
d 2.621, 2θ = 34.22°, I 85, hkl 2 2 0
d 2.060, 2θ = 43.96°, I 43, hkl 3 1 2
d 1.853, 2θ = 49.16°, I 26, hkl 4 0 0
d 1.666, 2θ = 55.12°, I 35, hkl 2 2 4